Diffraction record for BaDy3Co. The XRD peak list is theoretical, not measured: it uses a crystal structure in Alexandria, relaxed with PBE and CuKα.

a b c (Å): 5.4354 5.4354 5.4354
angles (deg): 90.00 90.00 90.00
Fractional positions:
1 Ba 0.0000 0.0000 0.0000
2 Dy 0.0000 0.5000 0.5000
3 Dy 0.5000 0.0000 0.5000
4 Dy 0.5000 0.5000 0.0000
5 Co 0.5000 0.5000 0.5000

Principal peaks in the range 2θ from 10° to 80°, in order of rising 2θ:
- 2θ 16.31, intensity 8, hkl 1 0 0
- 2θ 28.44, intensity 100, hkl 1 1 1
- 2θ 32.96, intensity 77, hkl 2 0 0
- 2θ 36.98, intensity 4, hkl 2 1 0
- 2θ 47.30, intensity 56, hkl 2 2 0
- 2θ 56.12, intensity 45, hkl 3 1 1
- 2θ 58.85, intensity 19, hkl 2 2 2
- 2θ 69.13, intensity 9, hkl 4 0 0
- 2θ 76.37, intensity 19, hkl 3 3 1
- 2θ 78.74, intensity 25, hkl 4 2 0